Structure and theoretical PXRD pattern of Tl17AgHg11 (a DFT-relaxed cell (GGA-PBE, Alexandria); λ = 1.5418 Å (Cu Kα)).

Main lines, by intensity (5 to 70 degrees two-theta):
2theta	I (rel.)
32.10	100
57.22	28
35.60	26
38.81	13
37.24	10
67.12	7
54.86	7
53.68	6
30.22	5
61.73	5

Structure:
```
data_Tl17AgHg11
_chemical_formula_sum 'Tl17 Ag1 Hg11'
_space_group_name_H-M_alt 'P 1'
_space_group_IT_number 1
_space_group_name_Hall 'P 1'
_cell_length_a 10.2522
_cell_length_b 10.2522
_cell_length_c 10.2369
_cell_angle_alpha 109.49
_cell_angle_beta 109.49
_cell_angle_gamma 109.48
loop_
_atom_site_label
_atom_site_type_symbol
_atom_site_fract_x
_atom_site_fract_y
_atom_site_fract_z
Tl1 Tl 0.0000 0.0000 0.0000
Tl2 Tl 0.0027 0.6438 0.0032
Tl3 Tl 0.0050 0.6806 0.4026
Tl4 Tl 0.0065 0.0065 0.6440
Tl5 Tl 0.0073 0.4047 0.6816
Tl6 Tl 0.2960 0.6084 0.6098
Tl7 Tl 0.3258 0.3258 0.7117
Tl8 Tl 0.3273 0.7152 0.3243
Tl9 Tl 0.3593 0.3593 0.3567
Tl10 Tl 0.4047 0.0073 0.6816
Tl11 Tl 0.4096 0.6790 0.0019
Tl12 Tl 0.6084 0.2960 0.6098
Tl13 Tl 0.6232 0.6232 0.3055
Tl14 Tl 0.6438 0.0027 0.0032
Tl15 Tl 0.6790 0.4096 0.0019
Tl16 Tl 0.6806 0.0050 0.4026
Tl17 Tl 0.7152 0.3273 0.3243
Ag1 Ag 0.6243 0.6243 0.8094
Hg1 Hg 0.1828 0.9963 0.3672
Hg2 Hg 0.1901 0.8180 0.8143
Hg3 Hg 0.1927 0.3722 0.0019
Hg4 Hg 0.3667 0.9988 0.1878
Hg5 Hg 0.3722 0.1927 0.0019
Hg6 Hg 0.6413 0.8263 0.6535
Hg7 Hg 0.8062 0.8062 0.1595
Hg8 Hg 0.8180 0.1901 0.8143
Hg9 Hg 0.8263 0.6413 0.6535
Hg10 Hg 0.9963 0.1828 0.3672
Hg11 Hg 0.9988 0.3667 0.1878
```